Calculated powder XRD pattern of Ba3ErTl2O6 for Cu Kα X-rays, from a DFT-relaxed cell (GGA-PBE, Alexandria).

Crystal structure
abc: 6.283 6.283 7.100
angles: 90.00 90.00 120.00
Sites, in units of the cell vectors:
1 Ba 0.000 0.000 0.000
2 Ba 0.333 0.667 0.612
3 Ba 0.667 0.333 0.388
4 Er 0.000 0.000 0.500
5 Tl 0.333 0.667 0.128
6 Tl 0.667 0.333 0.872
7 O 0.165 0.330 0.315
8 O 0.165 0.835 0.315
9 O 0.330 0.165 0.685
10 O 0.670 0.835 0.315
11 O 0.835 0.165 0.685
12 O 0.835 0.670 0.685

Most intense lines, 10° ≤ 2θ ≤ 80°, by intensity:
hkl 1 1 0, 28.41°, intensity 100.0
hkl 0 1 2, 30.06°, intensity 75.9
hkl 2 0 2, 41.83°, intensity 41.1
hkl 1 2 2, 51.34°, intensity 34.8
hkl 3 0 0, 50.31°, intensity 21.0
hkl 2 2 0, 58.79°, intensity 16.5
hkl 3 1 2, 67.43°, intensity 15.7
hkl 0 1 4, 54.37°, intensity 15.0